Structure and calculated powder diffraction line list of Ac8Co3Ni (the GGA-PBE geometry in Alexandria; Cu Kα (weighted mean of Kα1 and Kα2)).
Peak positions follow from Bragg's law for the DFT cell and can differ from measured ones.

The 8 most intense peaks (10° ≤ 2θ ≤ 90°), in order of rising 2θ:
2θ 25.67, I 100; 2θ 26.71, I 28; 2θ 29.95, I 40; 2θ 30.07, I 80; 2θ 42.31, I 49; 2θ 43.60, I 27; 2θ 50.79, I 21; 2θ 52.71, I 17

Structural model:
a = 8.3102 Å, b = 8.3102 Å, c = 8.2814 Å
α = 117.99°, β = 117.99°, γ = 61.86°
Sites, in units of the cell vectors:
Ac 0.2357 0.7465 0.7529
Ac 0.2438 0.2438 0.2554
Ac 0.2536 0.2536 0.7361
Ac 0.2535 0.7643 0.2471
Ac 0.7465 0.2357 0.7529
Ac 0.7464 0.7464 0.2639
Ac 0.7562 0.7562 0.7446
Ac 0.7643 0.2535 0.2471
Co 0.0000 0.0000 0.0000
Co 0.0000 0.5000 0.5000
Co 0.5000 0.0000 0.5000
Ni 0.5000 0.5000 0.0000